# 1
Starting from a DFT-relaxed cell (PBE, Alexandria), the PXRD pattern of SrTiGa2O6 was simulated for Cu Ka.
Lines closer than 0.1° are merged.

Cell and atoms:
```
SrTiGa2O6
1.0
4.5396 -5.6640 0.0000
4.5396 5.6640 0.0000
-2.7213 0.0000 5.6409
Sr Ti Ga O
2 2 4 12
Direct
0.1082 0.8918 0.7500
0.8918 0.1082 0.2500
0.1959 0.8041 0.2500
0.8041 0.1959 0.7500
0.2956 0.4465 0.8369
0.4465 0.2956 0.3369
0.5535 0.7044 0.6631
0.7044 0.5535 0.1631
0.0441 0.2189 0.6976
0.1738 0.6389 0.9594
0.2189 0.0441 0.1976
0.3244 0.4317 0.5364
0.3611 0.8262 0.5406
0.4317 0.3244 0.0364
0.5683 0.6756 0.9636
0.6389 0.1738 0.4594
0.6756 0.5683 0.4636
0.7811 0.9559 0.8024
0.8262 0.3611 0.0406
0.9559 0.7811 0.3024
```

Most intense lines, 5° ≤ 2θ ≤ 70°, by angle:
d = 5.664 Å, 15.65°, I = 377
d = 4.089 Å, 21.74°, I = 632
d = 3.997 Å, 22.24°, I = 420
d = 3.432 Å, 25.96°, I = 1000
d = 3.200 Å, 27.88°, I = 826
d = 3.005 Å, 29.73°, I = 614
d = 2.718 Å, 32.95°, I = 669
d = 2.650 Å, 33.82°, I = 677
d = 2.540 Å, 35.34°, I = 401
d = 1.958 Å, 46.37°, I = 710

# 2
Starting from a DFT-relaxed cell (PBE, Alexandria), the PXRD pattern of Sr3Ti3Ga8O20 was simulated for Cu Ka.
Lines closer than 0.1° are merged.

Cell and atoms:
```
Sr3Ti3Ga8O20
1.0
7.9284 -5.9180 0.0000
7.9284 5.9180 0.0000
-1.6998 0.0000 4.9113
Sr Ti Ga O
3 3 8 20
Direct
0.0000 0.0000 0.0000
0.2712 0.2712 0.2973
0.7288 0.7288 0.7027
0.3736 0.6264 0.5000
0.5000 0.5000 0.0000
0.6264 0.3736 0.5000
0.0072 0.2789 0.6544
0.1414 0.5780 0.8326
0.2789 0.0072 0.6544
0.4220 0.8586 0.1674
0.5780 0.1414 0.8326
0.7211 0.9928 0.3456
0.8586 0.4220 0.1674
0.9928 0.7211 0.3456
0.0025 0.2799 0.0113
0.0958 0.0958 0.4917
0.1219 0.3962 0.6509
0.1711 0.6656 0.5753
0.2799 0.0025 0.0113
0.3050 0.5453 0.1061
0.3344 0.8289 0.4247
0.3962 0.1219 0.6509
0.4299 0.4299 0.5964
0.4547 0.6950 0.8939
0.5453 0.3050 0.1061
0.5701 0.5701 0.4036
0.6038 0.8781 0.3491
0.6656 0.1711 0.5753
0.6950 0.4547 0.8939
0.7201 0.9975 0.9887
0.8289 0.3344 0.4247
0.8781 0.6038 0.3491
0.9042 0.9042 0.5083
0.9975 0.7201 0.9887
```

Most intense lines, 5° ≤ 2θ ≤ 70°, by angle:
d = 3.165 Å, 28.19°, I = 979
d = 3.142 Å, 28.40°, I = 930
d = 3.077 Å, 29.02°, I = 976
d = 2.943 Å, 30.37°, I = 1000
d = 2.899 Å, 30.85°, I = 527
d = 2.599 Å, 34.52°, I = 724
d = 2.534 Å, 35.42°, I = 559
d = 2.139 Å, 42.26°, I = 296
d = 2.008 Å, 45.15°, I = 469
d = 1.645 Å, 55.88°, I = 692